Entry 1:
Diffraction record for LiI. The powder diffractogram is simulated, not measured: it uses the GGA-PBE geometry in Alexandria and copper Kα.
Lines closer than 0.1° are merged.

Atomic structure:
```
data_LiI
_symmetry_space_group_name_H-M 'P 1'
_symmetry_Int_Tables_number 1
_symmetry_space_group_name_Hall 'P 1'
_cell_length_a 12.182
_cell_length_b 12.182
_cell_length_c 4.615
_cell_angle_alpha 90.00
_cell_angle_beta 90.00
_cell_angle_gamma 90.00
loop_
_atom_site_label
_atom_site_type_symbol
_atom_site_fract_x
_atom_site_fract_y
_atom_site_fract_z
Li1 Li 0.071 0.380 0.000
Li2 Li 0.126 0.713 0.500
Li3 Li 0.287 0.126 0.500
Li4 Li 0.380 0.929 0.000
Li5 Li 0.620 0.071 0.000
Li6 Li 0.713 0.874 0.500
Li7 Li 0.874 0.287 0.500
Li8 Li 0.929 0.620 0.000
I1 I 0.102 0.258 0.500
I2 I 0.159 0.589 0.000
I3 I 0.258 0.898 0.500
I4 I 0.411 0.159 0.000
I5 I 0.589 0.841 0.000
I6 I 0.742 0.102 0.500
I7 I 0.841 0.411 0.000
I8 I 0.898 0.742 0.500
```

Most intense lines, 2θ from 10° to 80°, in order of rising 2θ:
10.3°, I 34
20.6°, I 19
21.9°, I 14
23.1°, I 59
25.3°, I 100
26.4°, I 22
30.2°, I 15
32.9°, I 21
38.4°, I 14
41.9°, I 25
45.8°, I 18
47.8°, I 26


Entry 2:
Diffraction record for Nd2Cd2Pt15. The powder diffractogram is simulated, not measured: it uses the GGA-PBE geometry in Alexandria and copper Kα.
Lines closer than 0.1° are merged.

Atomic structure:
```
data_Nd2Cd2Pt15
_symmetry_space_group_name_H-M 'P 1'
_symmetry_Int_Tables_number 1
_symmetry_space_group_name_Hall 'P 1'
_cell_length_a 7.051
_cell_length_b 7.051
_cell_length_c 7.051
_cell_angle_alpha 83.35
_cell_angle_beta 83.35
_cell_angle_gamma 83.35
loop_
_atom_site_label
_atom_site_type_symbol
_atom_site_fract_x
_atom_site_fract_y
_atom_site_fract_z
Nd1 Nd 0.149 0.149 0.149
Nd2 Nd 0.851 0.851 0.851
Cd1 Cd 0.399 0.399 0.399
Cd2 Cd 0.601 0.601 0.601
Pt1 Pt 0.000 0.500 0.500
Pt2 Pt 0.156 0.156 0.663
Pt3 Pt 0.156 0.663 0.156
Pt4 Pt 0.184 0.500 0.816
Pt5 Pt 0.184 0.816 0.500
Pt6 Pt 0.337 0.844 0.844
Pt7 Pt 0.500 0.000 0.500
Pt8 Pt 0.500 0.184 0.816
Pt9 Pt 0.500 0.500 0.000
Pt10 Pt 0.500 0.816 0.184
Pt11 Pt 0.663 0.156 0.156
Pt12 Pt 0.816 0.184 0.500
Pt13 Pt 0.816 0.500 0.184
Pt14 Pt 0.844 0.337 0.844
Pt15 Pt 0.844 0.844 0.337
```

Most intense lines, 2θ from 10° to 80°, in order of rising 2θ:
18.9°, I 32
33.1°, I 24
38.4°, I 42
38.8°, I 100
39.9°, I 41
43.5°, I 88
44.5°, I 23
56.6°, I 13
62.9°, I 22
69.5°, I 27
71.7°, I 19
75.0°, I 14


Entry 3:
Diffraction record for RbUTcN4. The powder diffractogram is simulated, not measured: it uses the GGA-PBE geometry in Alexandria and copper Kα.
Lines closer than 0.1° are merged.

Atomic structure:
```
data_RbUTcN4
_symmetry_space_group_name_H-M 'P 1'
_symmetry_Int_Tables_number 1
_symmetry_space_group_name_Hall 'P 1'
_cell_length_a 5.986
_cell_length_b 5.692
_cell_length_c 7.981
_cell_angle_alpha 90.00
_cell_angle_beta 108.04
_cell_angle_gamma 90.00
loop_
_atom_site_label
_atom_site_type_symbol
_atom_site_fract_x
_atom_site_fract_y
_atom_site_fract_z
Rb1 Rb 0.205 0.250 0.439
Rb2 Rb 0.795 0.750 0.561
U1 U 0.296 0.250 0.960
U2 U 0.704 0.750 0.040
Tc1 Tc 0.246 0.750 0.148
Tc2 Tc 0.754 0.250 0.852
N1 N 0.012 0.750 0.939
N2 N 0.049 0.750 0.280
N3 N 0.481 0.512 0.160
N4 N 0.481 0.988 0.160
N5 N 0.519 0.012 0.840
N6 N 0.519 0.488 0.840
N7 N 0.951 0.250 0.720
N8 N 0.988 0.250 0.061
```

Most intense lines, 2θ from 10° to 80°, in order of rising 2θ:
11.7°, I 100
19.5°, I 17
22.1°, I 34
23.4°, I 19
28.3°, I 33
28.6°, I 32
31.4°, I 52
33.9°, I 21
35.9°, I 26
36.7°, I 26
45.0°, I 19
46.4°, I 14